Record 1
Structure and computed XRD peak list of PaTc3 (a cell relaxed with PBE; Cu Kα, 1.54184 Å).

The 6 most intense peaks (10 to 90 degrees two-theta), by angle:
3.675 Å, intensity 18, (1 0 1); 2.345 Å, intensity 100, (1 1 2); 2.091 Å, intensity 36, (2 0 0); 1.925 Å, intensity 14, (0 0 4); 1.416 Å, intensity 20, (2 0 4); 1.251 Å, intensity 27, (3 1 2)

Structure:
abc: 4.182 4.182 7.700
angles: 90.00 90.00 90.00
Fractional positions:
1 Pa 0.000 0.000 0.000
2 Pa 0.500 0.500 0.500
3 Tc 0.000 0.000 0.500
4 Tc 0.000 0.500 0.250
5 Tc 0.000 0.500 0.750
6 Tc 0.500 0.000 0.250
7 Tc 0.500 0.000 0.750
8 Tc 0.500 0.500 0.000

***

Record 2
Structure and computed XRD peak list of K3Re (a cell relaxed with PBE; Cu Kα, 1.54184 Å).

The 6 most intense peaks (10 to 90 degrees two-theta), by angle:
5.100 Å, intensity 45, (1 1 1); 4.417 Å, intensity 24, (2 0 0); 3.123 Å, intensity 100, (2 2 0); 2.663 Å, intensity 28, (3 1 1); 1.803 Å, intensity 39, (4 2 2); 1.180 Å, intensity 18, (6 4 2)

Structure:
abc: 8.833 8.833 8.833
angles: 90.00 90.00 90.00
Fractional positions:
1 K 0.000 0.000 0.000
2 K 0.000 0.500 0.500
3 K 0.250 0.250 0.250
4 K 0.250 0.250 0.750
5 K 0.250 0.750 0.250
6 K 0.250 0.750 0.750
7 K 0.500 0.000 0.500
8 K 0.500 0.500 0.000
9 K 0.750 0.250 0.250
10 K 0.750 0.250 0.750
11 K 0.750 0.750 0.250
12 K 0.750 0.750 0.750
13 Re 0.000 0.000 0.500
14 Re 0.000 0.500 0.000
15 Re 0.500 0.000 0.000
16 Re 0.500 0.500 0.500

***

Record 3
Structure and computed XRD peak list of NpPt (a cell relaxed with PBE; Cu Kα, 1.54184 Å).

The 6 most intense peaks (10 to 90 degrees two-theta), by angle:
2.787 Å, intensity 100, (1 1 1); 2.650 Å, intensity 30, (0 4 0); 2.270 Å, intensity 22, (0 4 1); 2.236 Å, intensity 61, (1 3 1); 2.202 Å, intensity 30, (0 0 2); 1.268 Å, intensity 20, (0 8 1)

Structure:
abc: 3.826 10.598 4.404
angles: 90.00 90.00 90.00
Fractional positions:
1 Np 0.000 0.142 0.250
2 Np 0.000 0.858 0.750
3 Np 0.500 0.358 0.750
4 Np 0.500 0.642 0.250
5 Pt 0.000 0.411 0.250
6 Pt 0.000 0.589 0.750
7 Pt 0.500 0.089 0.750
8 Pt 0.500 0.911 0.250

***

Record 4
Structure and computed XRD peak list of Ba2SmGaSe5 (a cell relaxed with PBE; Cu Kα, 1.54184 Å).

The 6 most intense peaks (10 to 90 degrees two-theta), by angle:
3.231 Å, intensity 100, (2 -2 0); 3.088 Å, intensity 69, (1 0 -3); 2.999 Å, intensity 44, (2 -2 1); 2.980 Å, intensity 44, (1 2 0); 2.951 Å, intensity 40, (0 0 3); 2.219 Å, intensity 45, (1 -4 1)

Structure:
abc: 7.433 8.877 9.618
angles: 103.71 103.00 107.52
Fractional positions:
1 Ba 0.134 0.478 0.293
2 Ba 0.160 0.990 0.295
3 Ba 0.840 0.010 0.705
4 Ba 0.866 0.522 0.707
5 Sm 0.497 0.231 0.998
6 Sm 0.503 0.769 0.002
7 Ga 0.304 0.371 0.687
8 Ga 0.696 0.629 0.313
9 Se 0.011 0.760 0.508
10 Se 0.202 0.910 0.945
11 Se 0.207 0.406 0.923
12 Se 0.483 0.650 0.685
13 Se 0.488 0.186 0.681
14 Se 0.512 0.814 0.319
15 Se 0.517 0.350 0.315
16 Se 0.793 0.594 0.077
17 Se 0.798 0.090 0.055
18 Se 0.989 0.240 0.492

***

Record 5
Structure and computed XRD peak list of FeSe (a cell relaxed with PBE; Cu Kα, 1.54184 Å).

The 6 most intense peaks (10 to 90 degrees two-theta), by angle:
3.827 Å, intensity 39, (1 1 0); 2.888 Å, intensity 48, (1 1 1); 2.629 Å, intensity 50, (0 2 1); 2.356 Å, intensity 64, (2 0 0); 2.201 Å, intensity 52, (0 0 2); 1.808 Å, intensity 100, (1 3 1)

Structure:
abc: 4.713 6.557 4.401
angles: 90.00 90.00 90.00
Fractional positions:
1 Fe 0.000 0.096 0.250
2 Fe 0.000 0.904 0.750
3 Fe 0.500 0.404 0.750
4 Fe 0.500 0.596 0.250
5 Se 0.000 0.269 0.750
6 Se 0.000 0.731 0.250
7 Se 0.500 0.231 0.250
8 Se 0.500 0.769 0.750

***

Record 6
Structure and computed XRD peak list of CaSm4H4O8 (a cell relaxed with PBE; Cu Kα, 1.54184 Å).

The 6 most intense peaks (10 to 90 degrees two-theta), by angle:
4.926 Å, intensity 35, (1 0 1); 3.879 Å, intensity 31, (1 0 2); 3.136 Å, intensity 29, (1 0 -3); 3.042 Å, intensity 100, (0 1 2); 2.949 Å, intensity 45, (1 1 -1); 2.923 Å, intensity 29, (1 1 1)

Structure:
abc: 5.584 3.631 11.133
angles: 90.00 91.83 90.00
Fractional positions:
1 Ca 0.000 0.000 0.000
2 Sm 0.172 0.000 0.382
3 Sm 0.480 0.000 0.874
4 Sm 0.650 0.500 0.173
5 Sm 0.948 0.500 0.672
6 H 0.231 0.000 0.156
7 H 0.393 0.000 0.624
8 H 0.731 0.500 0.429
9 H 0.923 0.500 0.898
10 O 0.165 0.500 0.862
11 O 0.220 0.000 0.600
12 O 0.373 0.000 0.103
13 O 0.404 0.500 0.338
14 O 0.705 0.000 0.703
15 O 0.750 0.500 0.939
16 O 0.902 0.500 0.456
17 O 0.918 0.000 0.213

***

Record 7
Structure and computed XRD peak list of Nd3BeCrS7 (a cell relaxed with PBE; Cu Kα, 1.54184 Å).

The 6 most intense peaks (10 to 90 degrees two-theta), by angle:
4.924 Å, intensity 81, (1 0 1); 3.505 Å, intensity 100, (2 0 1); 3.267 Å, intensity 83, (2 1 0); 2.597 Å, intensity 70, (3 0 1); 2.226 Å, intensity 69, (1 3 1); 2.208 Å, intensity 68, (2 1 2)

Structure:
abc: 9.982 9.982 5.990
angles: 90.00 90.00 120.00
Fractional positions:
1 Nd 0.139 0.750 0.000
2 Nd 0.250 0.390 0.000
3 Nd 0.390 0.139 0.500
4 Nd 0.610 0.861 0.000
5 Nd 0.750 0.610 0.500
6 Nd 0.861 0.250 0.500
7 Be 0.333 0.667 0.584
8 Be 0.667 0.333 0.084
9 Cr 0.000 0.000 0.231
10 Cr 0.000 0.000 0.731
11 S 0.078 0.858 0.474
12 S 0.110 0.519 0.716
13 S 0.142 0.220 0.474
14 S 0.220 0.078 0.974
15 S 0.333 0.667 0.234
16 S 0.410 0.890 0.716
17 S 0.481 0.590 0.716
18 S 0.519 0.410 0.216
19 S 0.590 0.110 0.216
20 S 0.667 0.333 0.734
21 S 0.780 0.922 0.474
22 S 0.858 0.780 0.974
23 S 0.890 0.481 0.216
24 S 0.922 0.142 0.974